[1]
Starting from DFT lattice parameters and positions (GGA-PBE), the XRD peak list of SrMg2MnH8 was computed for copper Kα.

Cell and atoms:
Cell lengths 4.9253, 4.5426, 5.6696 Å; angles 90.00, 105.38, 90.00 degrees
Fractional positions:
Sr (0.0000, 0.0000, 0.0000)
Mg (0.4484, 0.5000, 0.7288)
Mg (0.5516, 0.5000, 0.2712)
Mn (0.5000, 0.0000, 0.5000)
H (0.2324, 0.5000, 0.9598)
H (0.2574, 0.2507, 0.4061)
H (0.2574, 0.7493, 0.4061)
H (0.4538, 0.0000, 0.7802)
H (0.5462, 0.0000, 0.2198)
H (0.7426, 0.2507, 0.5939)
H (0.7426, 0.7493, 0.5939)
H (0.7676, 0.5000, 0.0402)

Top 8 peaks for 15 to 90 degrees two-theta, in order of rising 2θ:
d_spacing, two_theta, I (rel.)
4.543, 19.54, 48
4.175, 21.28, 87
3.190, 27.97, 64
3.074, 29.05, 100
2.611, 34.35, 40
2.342, 38.44, 71
2.271, 39.68, 35
1.897, 47.96, 38

=====

[2]
Starting from DFT lattice parameters and positions (GGA-PBE), the XRD peak list of MgMo2H was computed for copper Kα.

Cell and atoms:
Cell lengths 5.5975, 5.5975, 5.5975 Å; angles 120.12, 120.12, 89.79 degrees
Fractional positions:
Mg (0.3750, 0.6250, 0.7500)
Mg (0.6250, 0.3750, 0.2500)
Mo (0.0000, 0.0000, 0.0000)
Mo (0.0000, 0.0000, 0.5000)
Mo (0.0000, 0.5000, 0.0000)
Mo (0.5000, 0.0000, 0.5000)
H (0.1250, 0.8750, 0.2500)
H (0.8750, 0.1250, 0.7500)

Top 8 peaks for 15 to 90 degrees two-theta, in order of rising 2θ:
d_spacing, two_theta, I (rel.)
4.567, 19.43, 100
2.390, 37.64, 37
2.383, 37.75, 73
2.284, 39.46, 93
1.815, 50.27, 23
1.521, 60.89, 26
1.399, 66.86, 24
1.192, 80.63, 23

=====

[3]
Starting from DFT lattice parameters and positions (GGA-PBE), the XRD peak list of MgMo2H2 was computed for copper Kα.

Cell and atoms:
Cell lengths 5.3244, 5.3244, 5.3244 Å; angles 142.48, 142.48, 54.11 degrees
Fractional positions:
Mg (0.0000, 0.0000, 0.0000)
Mo (0.3302, 0.3302, 0.0000)
Mo (0.6698, 0.6698, 0.0000)
H (0.2500, 0.7500, 0.5000)
H (0.7500, 0.2500, 0.5000)

Top 8 peaks for 15 to 90 degrees two-theta, in order of rising 2θ:
d_spacing, two_theta, I (rel.)
4.742, 18.71, 23
3.221, 27.69, 24
2.422, 37.13, 55
2.323, 38.77, 100
1.712, 53.52, 19
1.378, 68.02, 36
1.324, 71.24, 16
1.161, 83.18, 10